No. 1
# CsDyS2
Computed powder diffractogram, Cu Kα (λ = 1.5418 Å). Input: the PBE geometry in the Materials Project.
Neutral-atom scattering factors, no anomalous dispersion.

Most intense lines, 5 to 70 degrees two-theta, in order of rising 2θ:
2θ/deg, intensity
22.11, 38
27.40, 100
30.14, 52
42.21, 46
44.06, 39
49.83, 27

Cell and atoms:
a b c (Å): 4.1102 4.1102 16.0789
angles (deg): 90.00 90.00 120.00
Element x y z (fractional)
1 Cs 0.3333 0.6667 0.2500
2 Cs 0.6667 0.3333 0.7500
3 Dy 0.0000 0.0000 0.0000
4 Dy 0.0000 0.0000 0.5000
5 S 0.3333 0.6667 0.5908
6 S 0.3333 0.6667 0.9092
7 S 0.6667 0.3333 0.0908
8 S 0.6667 0.3333 0.4092

No. 2
# CsDySiS4
Computed powder diffractogram, Cu Kα (λ = 1.5418 Å). Input: the PBE geometry in the Materials Project.
Neutral-atom scattering factors, no anomalous dispersion.

Most intense lines, 5 to 70 degrees two-theta, in order of rising 2θ:
2θ/deg, intensity
9.80, 65
19.72, 100
21.52, 55
26.43, 60
29.59, 66
40.10, 74

Cell and atoms:
a b c (Å): 6.4061 6.7458 18.0443
angles (deg): 90.00 90.00 90.00
Element x y z (fractional)
1 Cs 0.0016 0.0065 0.0331
2 Cs 0.4984 0.9935 0.5331
3 Cs 0.5016 0.4935 0.9669
4 Cs 0.9984 0.5065 0.4669
5 Dy 0.2081 0.5205 0.7286
6 Dy 0.2919 0.4795 0.2286
7 Dy 0.7081 0.9795 0.2714
8 Dy 0.7919 0.0205 0.7714
9 Si 0.2091 0.0173 0.3303
10 Si 0.2909 0.9827 0.8303
11 Si 0.7091 0.4827 0.6697
12 Si 0.7909 0.5173 0.1697
13 S 0.0533 0.5111 0.0989
14 S 0.0683 0.7527 0.8510
15 S 0.1049 0.0770 0.2206
16 S 0.1046 0.2457 0.8413
17 S 0.3954 0.7543 0.3413
18 S 0.3951 0.9230 0.7206
19 S 0.4317 0.2473 0.3510
20 S 0.4467 0.4889 0.5989
21 S 0.5533 0.9889 0.9011
22 S 0.5683 0.7473 0.1490
23 S 0.6046 0.2543 0.1587
24 S 0.6049 0.4230 0.7794
25 S 0.8951 0.5770 0.2794
26 S 0.8954 0.7457 0.6587
27 S 0.9317 0.2527 0.6490
28 S 0.9467 0.0111 0.4011